(1)
Starting from a structure optimized by DFT (GGA-PBE), the X-ray powder pattern of Ta9Co2S6 was computed for Cu Kα X-rays.
Intensities are scaled so that the largest is 100.

Structure:
```
data_Ta9Co2S6
_chemical_formula_sum 'Ta18 Co4 S12'
_cell_length_a 10.3555
_cell_length_b 10.3555
_cell_length_c 6.6077
_cell_angle_alpha 90.00
_cell_angle_beta 90.00
_cell_angle_gamma 120.00
_symmetry_space_group_name_H-M 'P -6 2 m'
_symmetry_Int_Tables_number 189
_symmetry_space_group_name_Hall 'P -6 -2'
loop_
_atom_site_label
_atom_site_type_symbol
_atom_site_fract_x
_atom_site_fract_y
_atom_site_fract_z
_atom_site_occupancy
Ta1 Ta 0.0000 0.4568 0.2489 1
Ta2 Ta 0.1916 0.7396 0.5000 1
Ta3 Ta 0.2117 0.7404 0.0000 1
Co1 Co 0.3333 0.6667 0.2788 1
S1 S 0.0000 0.2733 0.5000 1
S2 S 0.0000 0.2747 0.0000 1
S3 S 0.0000 0.7031 0.2377 1
```

Main lines, by angle (10 to 90 degrees two-theta):
26.29°, d = 3.390 Å, I = 16.2, hkl 2 1 0; 33.70°, d = 2.660 Å, I = 61.6, hkl 2 0 2; 36.11°, d = 2.487 Å, I = 61.1, hkl 3 1 0; 38.03°, d = 2.366 Å, I = 100.0, hkl 2 1 2; 40.22°, d = 2.242 Å, I = 38.6, hkl 4 0 0; 40.70°, d = 2.217 Å, I = 18.6, hkl 3 0 2; 44.46°, d = 2.038 Å, I = 38.0, hkl 2 2 2; 60.52°, d = 1.530 Å, I = 16.1, hkl 3 3 2; 64.35°, d = 1.448 Å, I = 23.5, hkl 5 1 2; 68.14°, d = 1.376 Å, I = 19.1, hkl 3 1 4

=====

(2)
Starting from a structure optimized by DFT (GGA-PBE), the X-ray powder pattern of CeTl2I7 was computed for Cu Kα X-rays.
Intensities are scaled so that the largest is 100.

Structure:
```
data_CeTl2I7
_chemical_formula_sum 'Ce4 Tl8 I28'
_cell_length_a 18.128
_cell_length_b 8.707
_cell_length_c 14.646
_cell_angle_alpha 90.00
_cell_angle_beta 127.30
_cell_angle_gamma 90.00
_symmetry_space_group_name_H-M 'C 1 2/c 1'
_symmetry_Int_Tables_number 15
loop_
_symmetry_equiv_pos_as_xyz
'x,y,z'
'-x,-y,-z'
'-x,y,-z+1/2'
'x,-y,z+1/2'
'x+1/2,y+1/2,z'
'-x+1/2,-y+1/2,-z'
'-x+1/2,y+1/2,-z+1/2'
'x+1/2,-y+1/2,z+1/2'
loop_
_atom_site_label
_atom_site_type_symbol
_atom_site_fract_x
_atom_site_fract_y
_atom_site_fract_z
_atom_site_occupancy
Ce1 Ce 0.000 0.194 0.250 1
Tl1 Tl 0.145 0.193 0.083 1
I1 I 0.000 0.171 0.750 1
I2 I 0.078 0.189 0.502 1
I3 I 0.122 0.459 0.274 1
I4 I 0.189 0.040 0.326 1
```

Main lines, by angle (10 to 90 degrees two-theta):
11.88°, d = 7.448 Å, I = 33.8, hkl 1 1 0; 16.00°, d = 5.540 Å, I = 36.6, hkl 1 1 1; 25.09°, d = 3.549 Å, I = 100.0, hkl 2 0 -4; 25.54°, d = 3.487 Å, I = 32.3, hkl 0 2 2; 26.86°, d = 3.320 Å, I = 41.2, hkl 5 1 -2; 28.43°, d = 3.139 Å, I = 77.5, hkl 4 2 -2; 30.45°, d = 2.936 Å, I = 24.9, hkl 6 0 -2; 31.44°, d = 2.845 Å, I = 44.7, hkl 1 3 0; 32.32°, d = 2.770 Å, I = 29.9, hkl 2 2 2; 32.56°, d = 2.750 Å, I = 25.4, hkl 4 2 -4

=====

(3)
Starting from a structure optimized by DFT (GGA-PBE), the X-ray powder pattern of BaCaZr2O6 was computed for Cu Kα X-rays.
Intensities are scaled so that the largest is 100.

Structure:
```
data_BaCaZr2O6
_chemical_formula_sum 'Ba2 Ca2 Zr4 O12'
_cell_length_a 5.945
_cell_length_b 8.268
_cell_length_c 5.883
_cell_angle_alpha 90.00
_cell_angle_beta 90.00
_cell_angle_gamma 90.00
_symmetry_space_group_name_H-M 'I m m 2'
_symmetry_Int_Tables_number 44
loop_
_symmetry_equiv_pos_as_xyz
'x,y,z'
'-x,-y,z'
'-x,y,z'
'x,-y,z'
'x+1/2,y+1/2,z+1/2'
'-x+1/2,-y+1/2,z+1/2'
'-x+1/2,y+1/2,z+1/2'
'x+1/2,-y+1/2,z+1/2'
loop_
_atom_site_label
_atom_site_type_symbol
_atom_site_fract_x
_atom_site_fract_y
_atom_site_fract_z
_atom_site_occupancy
Ba1 Ba 0.000 0.000 0.000 1
Ca1 Ca 0.000 0.500 0.030 1
Zr1 Zr 0.000 0.251 0.504 1
O1 O 0.000 0.000 0.444 1
O2 O 0.000 0.500 0.612 1
O3 O 0.232 0.296 0.232 1
```

Main lines, by angle (10 to 90 degrees two-theta):
18.38°, d = 4.827 Å, I = 9.0, hkl 1 1 0; 18.51°, d = 4.794 Å, I = 8.9, hkl 0 1 1; 30.06°, d = 2.972 Å, I = 20.8, hkl 2 0 0; 30.40°, d = 2.940 Å, I = 100.0, hkl 1 2 1; 43.27°, d = 2.091 Å, I = 26.0, hkl 2 0 2; 43.80°, d = 2.067 Å, I = 11.7, hkl 0 4 0; 53.60°, d = 1.710 Å, I = 16.7, hkl 3 2 1; 54.01°, d = 1.698 Å, I = 27.9, hkl 2 4 0; 63.25°, d = 1.470 Å, I = 16.6, hkl 2 4 2; 87.84°, d = 1.111 Å, I = 12.6, hkl 1 2 5

=====

(4)
Starting from a structure optimized by DFT (GGA-PBE), the X-ray powder pattern of LaPm5Ho was computed for Cu Kα X-rays.
Intensities are scaled so that the largest is 100.

Structure:
```
data_LaPm5Ho
_chemical_formula_sum 'La2 Pm10 Ho2'
_cell_length_a 11.777
_cell_length_b 8.985
_cell_length_c 5.927
_cell_angle_alpha 90.00
_cell_angle_beta 90.06
_cell_angle_gamma 90.00
_symmetry_space_group_name_H-M 'C 1 2/m 1'
_symmetry_Int_Tables_number 12
loop_
_symmetry_equiv_pos_as_xyz
'x,y,z'
'-x,-y,-z'
'-x,y,-z'
'x,-y,z'
'x+1/2,y+1/2,z'
'-x+1/2,-y+1/2,-z'
'-x+1/2,y+1/2,-z'
'x+1/2,-y+1/2,z'
loop_
_atom_site_label
_atom_site_type_symbol
_atom_site_fract_x
_atom_site_fract_y
_atom_site_fract_z
_atom_site_occupancy
La1 La 0.000 0.000 0.000 1
Pm1 Pm 0.000 0.000 0.500 1
Pm2 Pm 0.000 0.315 0.000 1
Pm3 Pm 0.247 0.500 0.999 1
Ho1 Ho 0.000 0.500 0.500 1
```

Main lines, by angle (10 to 90 degrees two-theta):
15.00°, d = 5.907 Å, I = 100.0, hkl 2 0 0; 19.76°, d = 4.493 Å, I = 41.4, hkl 0 2 0; 29.19°, d = 3.059 Å, I = 97.9, hkl 2 2 1; 30.16°, d = 2.963 Å, I = 53.9, hkl 0 0 2; 30.36°, d = 2.944 Å, I = 52.9, hkl 4 0 0; 34.40°, d = 2.607 Å, I = 25.4, hkl 1 3 -1; 36.32°, d = 2.474 Å, I = 17.8, hkl 0 2 2; 43.32°, d = 2.089 Å, I = 40.0, hkl 4 0 2; 52.97°, d = 1.729 Å, I = 18.7, hkl 2 2 3; 53.22°, d = 1.721 Å, I = 18.3, hkl 6 2 1

=====

(5)
Starting from a structure optimized by DFT (GGA-PBE), the X-ray powder pattern of Tb12Y5Tm was computed for Cu Kα X-rays.
Intensities are scaled so that the largest is 100.

Structure:
```
data_Tb12Y5Tm
_chemical_formula_sum 'Tb12 Y5 Tm1'
_cell_length_a 10.671
_cell_length_b 5.034
_cell_length_c 10.684
_cell_angle_alpha 90.00
_cell_angle_beta 90.14
_cell_angle_gamma 90.00
_symmetry_space_group_name_H-M 'P 1 2/m 1'
_symmetry_Int_Tables_number 10
loop_
_symmetry_equiv_pos_as_xyz
'x,y,z'
'-x,-y,-z'
'-x,y,-z'
'x,-y,z'
loop_
_atom_site_label
_atom_site_type_symbol
_atom_site_fract_x
_atom_site_fract_y
_atom_site_fract_z
_atom_site_occupancy
Tb1 Tb 0.001 0.000 0.333 1
Tb2 Tb 0.166 0.500 0.166 1
Tb3 Tb 0.166 0.500 0.499 1
Tb4 Tb 0.332 0.000 0.332 1
Tb5 Tb 0.333 0.000 0.001 1
Tb6 Tb 0.499 0.500 0.166 1
Y1 Y 0.166 0.500 0.834 1
Y2 Y 0.333 0.000 0.667 1
Y3 Y 0.500 0.500 0.500 1
Tm1 Tm 0.000 0.000 0.000 1
```

Main lines, by angle (10 to 90 degrees two-theta):
30.77°, d = 2.906 Å, I = 100.0, hkl 3 1 0; 35.67°, d = 2.517 Å, I = 50.5, hkl 3 0 3; 51.34°, d = 1.780 Å, I = 35.7, hkl 6 0 0; 61.02°, d = 1.518 Å, I = 28.3, hkl 3 3 0; 61.12°, d = 1.516 Å, I = 14.1, hkl 6 1 3; 64.08°, d = 1.453 Å, I = 12.2, hkl 6 2 0; 83.71°, d = 1.155 Å, I = 8.7, hkl 0 1 9; 83.82°, d = 1.154 Å, I = 8.7, hkl 9 1 0; 86.35°, d = 1.127 Å, I = 4.1, hkl 6 2 -6; 86.46°, d = 1.126 Å, I = 8.2, hkl 3 4 3

=====

(6)
Starting from a structure optimized by DFT (GGA-PBE), the X-ray powder pattern of DyGe7Ir3 was computed for Cu Kα X-rays.
Intensities are scaled so that the largest is 100.

Structure:
```
data_DyGe7Ir3
_chemical_formula_sum 'Dy6 Ge42 Ir18'
_cell_length_a 7.9236
_cell_length_b 7.9236
_cell_length_c 20.9556
_cell_angle_alpha 90.00
_cell_angle_beta 90.00
_cell_angle_gamma 120.00
_symmetry_space_group_name_H-M 'R -3 c'
_symmetry_Int_Tables_number 167
_symmetry_space_group_name_Hall '-R 3 2"c'
loop_
_atom_site_label
_atom_site_type_symbol
_atom_site_fract_x
_atom_site_fract_y
_atom_site_fract_z
_atom_site_occupancy
Dy1 Dy 0.0000 0.0000 0.0000 1
Ge1 Ge 0.0000 0.0000 0.2500 1
Ge2 Ge 0.0131 0.2090 0.1362 1
Ir1 Ir 0.0000 0.3192 0.2500 1
```

Main lines, by angle (10 to 90 degrees two-theta):
25.85°, d = 3.446 Å, I = 100.0, hkl 1 1 3; 34.23°, d = 2.620 Å, I = 42.3, hkl 1 1 6; 34.86°, d = 2.574 Å, I = 34.8, hkl 2 1 1; 36.72°, d = 2.447 Å, I = 31.8, hkl 0 1 8; 38.74°, d = 2.324 Å, I = 42.5, hkl 2 1 4; 39.39°, d = 2.287 Å, I = 58.0, hkl 3 0 0; 45.17°, d = 2.007 Å, I = 76.2, hkl 1 1 9; 47.52°, d = 1.914 Å, I = 35.8, hkl 0 3 6; 47.72°, d = 1.906 Å, I = 56.0, hkl 2 2 3; 67.48°, d = 1.388 Å, I = 35.0, hkl 3 0 12

=====

(7)
Starting from a structure optimized by DFT (GGA-PBE), the X-ray powder pattern of Er3SbO7 was computed for Cu Kα X-rays.
Intensities are scaled so that the largest is 100.

Structure:
```
data_Er3SbO7
_chemical_formula_sum 'Er12 Sb4 O28'
_cell_length_a 7.425
_cell_length_b 10.484
_cell_length_c 7.464
_cell_angle_alpha 90.00
_cell_angle_beta 90.00
_cell_angle_gamma 90.00
_symmetry_space_group_name_H-M 'C 2 2 21'
_symmetry_Int_Tables_number 20
loop_
_symmetry_equiv_pos_as_xyz
'x,y,z'
'-x,-y,z+1/2'
'x,-y,-z'
'-x,y,-z+1/2'
'x+1/2,y+1/2,z'
'-x+1/2,-y+1/2,z+1/2'
'x+1/2,-y+1/2,-z'
'-x+1/2,y+1/2,-z+1/2'
loop_
_atom_site_label
_atom_site_type_symbol
_atom_site_fract_x
_atom_site_fract_y
_atom_site_fract_z
_atom_site_occupancy
Er1 Er 0.003 0.000 0.000 1
Er2 Er 0.234 0.266 0.750 1
Sb1 Sb 0.000 0.500 0.000 1
O1 O 0.000 0.130 0.250 1
O2 O 0.000 0.138 0.750 1
O3 O 0.000 0.428 0.750 1
O4 O 0.198 0.374 0.031 1
O5 O 0.200 0.375 0.470 1
```

Main lines, by angle (10 to 90 degrees two-theta):
29.38°, d = 3.040 Å, I = 98.5, hkl 0 2 2; 29.48°, d = 3.030 Å, I = 100.0, hkl 2 2 0; 34.06°, d = 2.632 Å, I = 47.6, hkl 2 0 2; 34.21°, d = 2.621 Å, I = 21.6, hkl 0 4 0; 48.80°, d = 1.866 Å, I = 16.5, hkl 0 0 4; 49.06°, d = 1.857 Å, I = 71.4, hkl 2 4 2; 58.05°, d = 1.589 Å, I = 29.5, hkl 2 2 4; 58.26°, d = 1.584 Å, I = 38.9, hkl 4 2 2; 58.37°, d = 1.581 Å, I = 11.9, hkl 2 6 0; 79.60°, d = 1.204 Å, I = 14.3, hkl 6 2 0

=====

(8)
Starting from a structure optimized by DFT (GGA-PBE), the X-ray powder pattern of Ca3Al4Cu4 was computed for Cu Kα X-rays.
Intensities are scaled so that the largest is 100.

Structure:
```
data_Ca3Al4Cu4
_chemical_formula_sum 'Ca6 Al8 Cu8'
_cell_length_a 7.652
_cell_length_b 7.652
_cell_length_c 7.652
_cell_angle_alpha 90.00
_cell_angle_beta 90.00
_cell_angle_gamma 90.00
_symmetry_space_group_name_H-M 'I -4 3 m'
_symmetry_Int_Tables_number 217
_symmetry_space_group_name_Hall 'I -4 2 3'
loop_
_atom_site_label
_atom_site_type_symbol
_atom_site_fract_x
_atom_site_fract_y
_atom_site_fract_z
_atom_site_occupancy
Ca1 Ca 0.000 0.000 0.500 1
Al1 Al 0.131 0.131 0.131 1
Cu1 Cu 0.189 0.189 0.811 1
```

Main lines, by angle (10 to 90 degrees two-theta):
16.38°, d = 5.411 Å, I = 17.7, hkl 1 1 0; 28.57°, d = 3.124 Å, I = 68.5, hkl 2 1 1; 33.11°, d = 2.705 Å, I = 100.0, hkl 2 2 0; 37.16°, d = 2.420 Å, I = 74.4, hkl 3 1 0; 44.29°, d = 2.045 Å, I = 37.4, hkl 3 2 1; 50.61°, d = 1.804 Å, I = 72.8, hkl 3 3 0; 56.40°, d = 1.631 Å, I = 24.6, hkl 3 3 2; 71.95°, d = 1.312 Å, I = 15.7, hkl 5 3 0; 74.39°, d = 1.275 Å, I = 17.1, hkl 6 0 0; 76.79°, d = 1.241 Å, I = 20.8, hkl 6 1 1

=====

(9)
Starting from a structure optimized by DFT (GGA-PBE), the X-ray powder pattern of SrPr2PaAs4 was computed for Cu Kα X-rays.
Intensities are scaled so that the largest is 100.

Structure:
```
data_SrPr2PaAs4
_chemical_formula_sum 'Sr2 Pr4 Pa2 As8'
_cell_length_a 6.042
_cell_length_b 6.042
_cell_length_c 12.126
_cell_angle_alpha 90.00
_cell_angle_beta 90.00
_cell_angle_gamma 90.00
_symmetry_space_group_name_H-M 'I -4 m 2'
_symmetry_Int_Tables_number 119
_symmetry_space_group_name_Hall 'I -4 -2'
loop_
_atom_site_label
_atom_site_type_symbol
_atom_site_fract_x
_atom_site_fract_y
_atom_site_fract_z
_atom_site_occupancy
Sr1 Sr 0.000 0.000 0.000 1
Pr1 Pr 0.000 0.000 0.500 1
Pr2 Pr 0.000 0.500 0.250 1
Pa1 Pa 0.000 0.500 0.750 1
As1 As 0.000 0.000 0.254 1
As2 As 0.000 0.500 0.516 1
```

Main lines, by angle (10 to 90 degrees two-theta):
16.39°, d = 5.408 Å, I = 11.0, hkl 1 0 1; 25.51°, d = 3.492 Å, I = 26.1, hkl 1 1 2; 29.46°, d = 3.032 Å, I = 44.0, hkl 0 0 4; 29.57°, d = 3.021 Å, I = 89.6, hkl 2 0 0; 42.26°, d = 2.139 Å, I = 100.0, hkl 2 2 0; 52.40°, d = 1.746 Å, I = 35.2, hkl 2 2 4; 61.38°, d = 1.510 Å, I = 11.2, hkl 4 0 0; 69.37°, d = 1.355 Å, I = 14.0, hkl 2 0 8; 69.56°, d = 1.351 Å, I = 30.5, hkl 4 2 0; 77.33°, d = 1.234 Å, I = 22.4, hkl 4 2 4

=====

(10)
Starting from a structure optimized by DFT (GGA-PBE), the X-ray powder pattern of AlV6Ga3 was computed for Cu Kα X-rays.
Intensities are scaled so that the largest is 100.

Structure:
```
data_AlV6Ga3
_chemical_formula_sum 'Al4 V24 Ga12'
_cell_length_a 7.787
_cell_length_b 12.471
_cell_length_c 6.235
_cell_angle_alpha 90.00
_cell_angle_beta 90.00
_cell_angle_gamma 90.00
_symmetry_space_group_name_H-M 'C m c 21'
_symmetry_Int_Tables_number 36
loop_
_symmetry_equiv_pos_as_xyz
'x,y,z'
'-x,-y,z+1/2'
'-x,y,z'
'x,-y,z+1/2'
'x+1/2,y+1/2,z'
'-x+1/2,-y+1/2,z+1/2'
'-x+1/2,y+1/2,z'
'x+1/2,-y+1/2,z+1/2'
loop_
_atom_site_label
_atom_site_type_symbol
_atom_site_fract_x
_atom_site_fract_y
_atom_site_fract_z
_atom_site_occupancy
Al1 Al 0.000 0.178 0.000 1
V1 V 0.000 0.055 0.661 1
V2 V 0.000 0.270 0.406 1
V3 V 0.188 0.427 0.450 1
V4 V 0.218 0.212 0.673 1
Ga1 Ga 0.000 0.409 0.079 1
Ga2 Ga 0.192 0.103 0.325 1
```

Main lines, by angle (10 to 90 degrees two-theta):
19.58°, d = 4.534 Å, I = 17.3, hkl 1 1 1; 30.63°, d = 2.918 Å, I = 20.6, hkl 2 2 1; 31.74°, d = 2.819 Å, I = 16.0, hkl 1 1 2; 36.94°, d = 2.434 Å, I = 16.7, hkl 2 0 2; 38.25°, d = 2.353 Å, I = 11.2, hkl 3 1 1; 39.76°, d = 2.267 Å, I = 100.0, hkl 2 4 1; 43.58°, d = 2.077 Å, I = 66.6, hkl 0 6 0; 46.03°, d = 1.972 Å, I = 48.3, hkl 0 2 3; 47.39°, d = 1.918 Å, I = 20.7, hkl 2 4 2; 51.98°, d = 1.759 Å, I = 11.6, hkl 2 2 3

=====

(11)
Starting from a structure optimized by DFT (GGA-PBE), the X-ray powder pattern of ScPa2TaC4 was computed for Cu Kα X-rays.
Intensities are scaled so that the largest is 100.

Structure:
```
data_ScPa2TaC4
_chemical_formula_sum 'Sc4 Pa8 Ta4 C16'
_cell_length_a 6.750
_cell_length_b 6.923
_cell_length_c 9.678
_cell_angle_alpha 90.00
_cell_angle_beta 90.00
_cell_angle_gamma 90.00
_symmetry_space_group_name_H-M 'I m m a'
_symmetry_Int_Tables_number 74
_symmetry_space_group_name_Hall '-I 2b 2'
loop_
_atom_site_label
_atom_site_type_symbol
_atom_site_fract_x
_atom_site_fract_y
_atom_site_fract_z
_atom_site_occupancy
Sc1 Sc 0.000 0.000 0.000 1
Pa1 Pa 0.000 0.000 0.500 1
Pa2 Pa 0.250 0.250 0.250 1
Ta1 Ta 0.250 0.250 0.750 1
C1 C 0.000 0.020 0.753 1
C2 C 0.248 0.250 0.989 1
```

Main lines, by angle (10 to 90 degrees two-theta):
16.01°, d = 5.537 Å, I = 31.3, hkl 1 0 1; 30.46°, d = 2.935 Å, I = 14.2, hkl 1 2 1; 31.79°, d = 2.815 Å, I = 78.7, hkl 0 2 2; 32.34°, d = 2.768 Å, I = 75.2, hkl 2 0 2; 37.19°, d = 2.417 Å, I = 100.0, hkl 2 2 0; 52.90°, d = 1.731 Å, I = 12.0, hkl 0 4 0; 53.60°, d = 1.710 Å, I = 46.2, hkl 2 2 4; 63.38°, d = 1.468 Å, I = 24.3, hkl 2 4 2; 64.36°, d = 1.447 Å, I = 22.2, hkl 4 2 2; 66.42°, d = 1.408 Å, I = 12.1, hkl 0 4 4

=====

(12)
Starting from a structure optimized by DFT (GGA-PBE), the X-ray powder pattern of SiHg was computed for Cu Kα X-rays.
Intensities are scaled so that the largest is 100.

Structure:
```
data_SiHg
_chemical_formula_sum 'Si4 Hg4'
_cell_length_a 6.614
_cell_length_b 3.824
_cell_length_c 8.136
_cell_angle_alpha 90.00
_cell_angle_beta 102.44
_cell_angle_gamma 90.00
_symmetry_space_group_name_H-M 'C 1 2/m 1'
_symmetry_Int_Tables_number 12
loop_
_symmetry_equiv_pos_as_xyz
'x,y,z'
'-x,-y,-z'
'-x,y,-z'
'x,-y,z'
'x+1/2,y+1/2,z'
'-x+1/2,-y+1/2,-z'
'-x+1/2,y+1/2,-z'
'x+1/2,-y+1/2,z'
loop_
_atom_site_label
_atom_site_type_symbol
_atom_site_fract_x
_atom_site_fract_y
_atom_site_fract_z
_atom_site_occupancy
Si1 Si 0.179 0.000 0.046 1
Hg1 Hg 0.181 0.500 0.634 1
```

Main lines, by angle (10 to 90 degrees two-theta):
11.14°, d = 7.945 Å, I = 93.7, hkl 0 0 1; 27.62°, d = 3.229 Å, I = 25.7, hkl 2 0 0; 28.19°, d = 3.166 Å, I = 100.0, hkl 1 1 -1; 31.72°, d = 2.821 Å, I = 22.1, hkl 2 0 -2; 32.09°, d = 2.789 Å, I = 25.1, hkl 2 0 1; 33.40°, d = 2.683 Å, I = 31.4, hkl 1 1 -2; 33.85°, d = 2.648 Å, I = 23.1, hkl 0 0 3; 37.35°, d = 2.408 Å, I = 37.5, hkl 1 1 2; 46.30°, d = 1.961 Å, I = 20.6, hkl 1 1 3; 47.67°, d = 1.908 Å, I = 21.0, hkl 3 1 -1